This entry pairs a crystal structure of TbV2Pd9 with its calculated X-ray powder pattern. Radiation: Cu Kα (λ = 1.5418 Å). Structure: a crystal structure in Alexandria, relaxed with PBE.
Peak positions follow from Bragg's law for the DFT cell and can differ from measured ones.

Structural model:
Cell: 3.9779 3.9779 11.9208 Å, 90.00 90.00 90.00°
Space group P4/mmm (No. 123)
Symmetry-distinct sites (fractional):
Tb (0.0000, 0.0000, 0.0000)
V (0.0000, 0.0000, 0.3367)
Pd (0.0000, 0.5000, 0.1826)
Pd (0.0000, 0.5000, 0.5000)
Pd (0.5000, 0.5000, 0.0000)
Pd (0.5000, 0.5000, 0.3409)

Main lines, sorted by position (2θ from 5° to 70°):
hkl 0 0 1, 7.42 deg, I = 2
hkl 1 0 1, 23.58 deg, I = 3
hkl 0 0 4, 29.98 deg, I = 2
hkl 1 1 1, 32.71 deg, I = 2
hkl 1 1 2, 35.28 deg, I = 4
hkl 0 0 5, 37.72 deg, I = 3
hkl 1 1 3, 39.24 deg, I = 100
hkl 2 0 0, 45.63 deg, I = 48
hkl 2 0 5, 60.63 deg, I = 3
hkl 2 2 0, 66.51 deg, I = 29

This entry pairs a crystal structure of Al4Si19 with its calculated X-ray powder pattern. Radiation: Cu Kα (λ = 1.5418 Å). Structure: a crystal structure in Alexandria, relaxed with PBE.
Peak positions follow from Bragg's law for the DFT cell and can differ from measured ones.

Structural model:
Cell: 10.0575 10.3438 10.5319 Å, 90.92 93.47 95.86°
Space group P1 (No. 1)
Symmetry-distinct sites (fractional):
Al (0.0000, 0.0000, 0.0000)
Al (0.0481, 0.8069, 0.3846)
Al (0.1593, 0.9731, 0.6081)
Al (0.2101, 0.4814, 0.7427)
Al (0.4939, 0.7650, 0.2450)
Al (0.5924, 0.3246, 0.7437)
Al (0.6912, 0.4146, 0.2620)
Al (0.8642, 0.5592, 0.5548)
Si (0.0375, 0.8183, 0.1458)
Si (0.0784, 0.4482, 0.5313)
Si (0.0918, 0.4900, 0.9392)
Si (0.1539, 0.3009, 0.0482)
Si (0.1689, 0.9668, 0.8445)
Si (0.1719, 0.2845, 0.4137)
Si (0.1812, 0.6227, 0.4187)
Si (0.1845, 0.6742, 0.0633)
Si (0.2833, 0.1680, 0.9234)
Si (0.2901, 0.3603, 0.2360)
Si (0.2939, 0.7920, 0.5530)
Si (0.3020, 0.1718, 0.5566)
Si (0.3031, 0.5900, 0.2408)
Si (0.3076, 0.8101, 0.9214)
Si (0.3460, 0.2971, 0.7452)
Si (0.3625, 0.6874, 0.7441)
Si (0.4722, 0.8934, 0.4408)
Si (0.4768, 0.1237, 0.0543)
Si (0.4869, 0.2493, 0.2491)
Si (0.4884, 0.1257, 0.4401)
Si (0.4954, 0.8974, 0.0512)
Si (0.6020, 0.7081, 0.7555)
Si (0.6510, 0.8383, 0.5775)
Si (0.6566, 0.1989, 0.9316)
Si (0.6809, 0.8398, 0.9392)
Si (0.6846, 0.2101, 0.5666)
Si (0.7016, 0.6547, 0.2482)
Si (0.7347, 0.5336, 0.7493)
Si (0.7847, 0.0303, 0.6424)
Si (0.7904, 0.0362, 0.8683)
Si (0.7928, 0.3437, 0.0669)
Si (0.8014, 0.7571, 0.4371)
Si (0.8248, 0.7145, 0.0690)
Si (0.8357, 0.3285, 0.4365)
Si (0.8642, 0.5264, 0.9447)
Si (0.9343, 0.9865, 0.4822)
Si (0.9519, 0.1990, 0.1239)
Si (0.9628, 0.1716, 0.3475)

Main lines, sorted by position (2θ from 5° to 70°):
hkl 1 -2 0, 18.58 deg, I = 83
hkl 0 1 2, 19.09 deg, I = 99
hkl 1 0 2, 19.58 deg, I = 58
hkl 2 0 1, 20.19 deg, I = 100
hkl -1 1 2, 20.32 deg, I = 74
hkl 2 1 0, 20.54 deg, I = 73
hkl 2 2 -2, 30.42 deg, I = 64
hkl -1 3 2, 31.67 deg, I = 60
hkl 5 -3 0, 50.43 deg, I = 61
hkl 1 -5 3, 51.27 deg, I = 87

This entry pairs a crystal structure of KSrRuO4 with its calculated X-ray powder pattern. Radiation: Cu Kα (λ = 1.5418 Å). Structure: a crystal structure in Alexandria, relaxed with PBE.
Peak positions follow from Bragg's law for the DFT cell and can differ from measured ones.

Structural model:
Cell: 3.9588 3.9588 12.9344 Å, 90.00 90.00 90.00°
Space group I4mm (No. 107)
Symmetry-distinct sites (fractional):
K (0.0000, 0.0000, 0.0000)
Sr (0.0000, 0.0000, 0.7062)
Ru (0.0000, 0.0000, 0.3552)
O (0.0000, 0.0000, 0.2001)
O (0.0000, 0.0000, 0.5034)
O (0.0000, 0.5000, 0.3428)

Main lines, sorted by position (2θ from 5° to 70°):
hkl 0 0 2, 13.69 deg, I = 50
hkl 1 0 1, 23.50 deg, I = 19
hkl 1 0 3, 30.66 deg, I = 100
hkl 1 1 0, 31.97 deg, I = 66
hkl 1 0 5, 41.71 deg, I = 18
hkl 0 0 6, 41.91 deg, I = 18
hkl 2 0 0, 45.84 deg, I = 37
hkl 1 1 6, 53.66 deg, I = 22
hkl 2 1 3, 56.16 deg, I = 36
hkl 2 0 6, 63.84 deg, I = 19

This entry pairs a crystal structure of Rb6NaI8 with its calculated X-ray powder pattern. Radiation: Cu Kα (λ = 1.5418 Å). Structure: a crystal structure in Alexandria, relaxed with PBE.
Peak positions follow from Bragg's law for the DFT cell and can differ from measured ones.

Structural model:
Cell: 10.8114 10.8114 7.5370 Å, 90.00 90.00 120.00°
Space group P-31m (No. 162)
Symmetry-distinct sites (fractional):
Rb (0.0000, 0.3719, 0.2209)
Na (0.0000, 0.0000, 0.5000)
I (0.0000, 0.2783, 0.7074)
I (0.3333, 0.6667, 0.0000)

Main lines, sorted by position (2θ from 5° to 70°):
hkl 1 0 1, 15.09 deg, I = 25
hkl 1 1 0, 16.40 deg, I = 21
hkl 1 1 1, 20.22 deg, I = 27
hkl 0 0 2, 23.61 deg, I = 25
hkl 3 -1 1, 27.85 deg, I = 77
hkl 3 0 0, 28.60 deg, I = 93
hkl 2 -1 2, 28.88 deg, I = 100
hkl 3 1 1, 36.60 deg, I = 24
hkl 2 2 2, 41.10 deg, I = 26
hkl 6 -1 1, 56.03 deg, I = 23